Starting from a GGA-PBE-relaxed structure, the powder diffraction line list of PIrO4 was simulated for Cu Kα (weighted mean of Kα1 and Kα2).

Cell lengths 4.6778, 4.6778, 13.9628 Å; angles 90.00, 90.00, 120.00 degrees
Space group P6_422 (No. 181)
Inequivalent atoms, fractional coordinates:
P 0.0000 0.5000 0.3333 (multiplicity 3)
Ir 0.0000 0.5000 0.8333 (multiplicity 3)
O 0.1825 0.3828 0.7253 (multiplicity 12)

Peak list (8 most intense, 10 to 90 degrees two-theta, in order of rising 2θ)
(hkl), d (Å), Rel. int.
0 0 3, 4.654, 16
1 0 1, 3.891, 45
1 0 2, 3.504, 100
1 0 4, 2.644, 25
1 1 1, 2.307, 14
1 1 4, 1.943, 21
2 0 3, 1.857, 17
2 0 6, 1.528, 17